[1]
The following is a simulated powder XRD pattern of Er4Ga16Fe3. It was derived from a crystal structure in Alexandria, relaxed with GGA-PBE, using copper Kα.

Top 10 peaks for 2θ from 10° to 90°, in order of rising 2θ:
2θ/deg  I (rel.)
20.93  20
32.04  24
33.93  58
38.58  100
40.51  30
42.60  70
44.39  16
60.24  34
61.83  22
75.28  37

```
Er4Ga16Fe3
1.0
6.002 0.000 0.000
0.000 6.002 0.000
0.000 0.000 11.134
Er Ga Fe
4 16 3
direct
0.000 0.500 0.194
0.000 0.500 0.806
0.500 0.000 0.194
0.500 0.000 0.806
0.000 0.000 0.199
0.000 0.000 0.801
0.219 0.219 0.000
0.219 0.781 0.000
0.251 0.251 0.385
0.251 0.251 0.615
0.251 0.749 0.385
0.251 0.749 0.615
0.500 0.500 0.216
0.500 0.500 0.784
0.749 0.251 0.385
0.749 0.251 0.615
0.749 0.749 0.385
0.749 0.749 0.615
0.781 0.219 0.000
0.781 0.781 0.000
0.000 0.500 0.500
0.500 0.000 0.500
0.500 0.500 0.000
```

[2]
The following is a simulated powder XRD pattern of PuSi2Pd5. It was derived from a crystal structure in Alexandria, relaxed with GGA-PBE, using copper Kα.

Top 10 peaks for 2θ from 10° to 90°, in order of rising 2θ:
2θ/deg  I (rel.)
26.14  16
30.23  18
31.17  37
35.47  100
36.00  93
39.20  15
45.11  39
46.73  27
56.62  16
66.97  24

```
PuSi2Pd5
1.0
-1.944 3.547 4.879
1.944 -3.547 4.879
1.944 3.547 -4.879
Pu Si Pd
1 2 5
direct
0.000 0.000 0.000
0.254 0.754 0.500
0.746 0.246 0.500
0.153 0.349 0.804
0.454 0.651 0.804
0.500 0.000 0.500
0.546 0.349 0.196
0.847 0.651 0.196
```

[3]
The following is a simulated powder XRD pattern of Ho4AsP3. It was derived from a crystal structure in Alexandria, relaxed with GGA-PBE, using copper Kα.

Top 10 peaks for 2θ from 10° to 90°, in order of rising 2θ:
2θ/deg  I (rel.)
27.20  65
31.51  100
45.16  73
53.52  32
56.11  26
65.78  12
72.57  13
74.77  33
83.38  25
89.73  10

```
Ho4AsP3
1.0
4.016 -5.677 0.000
4.016 5.677 0.000
0.000 0.000 4.015
Ho As P
4 1 3
direct
0.245 0.245 0.500
0.248 0.752 0.000
0.752 0.248 0.000
0.755 0.755 0.500
0.500 0.500 0.000
0.000 0.000 0.000
0.000 0.500 0.500
0.500 0.000 0.500
```

[4]
The following is a simulated powder XRD pattern of Li2LaGaS4. It was derived from a crystal structure in Alexandria, relaxed with GGA-PBE, using copper Kα.

Top 10 peaks for 2θ from 10° to 90°, in order of rising 2θ:
2θ/deg  I (rel.)
13.27  44
14.01  100
16.62  30
24.39  43
25.87  29
27.53  47
29.68  54
32.14  42
33.59  28
35.31  38

```
Li2LaGaS4
1.0
7.722 0.000 0.000
0.363 7.727 0.000
3.657 3.512 6.019
Li La Ga S
4 2 2 8
direct
0.000 0.000 0.000
0.017 0.495 0.512
0.364 0.843 0.193
0.862 0.860 0.702
0.424 0.914 0.613
0.944 0.435 0.094
0.460 0.312 0.698
0.547 0.399 0.005
0.141 0.703 0.616
0.155 0.719 0.089
0.237 0.241 0.615
0.269 0.202 0.083
0.618 0.623 0.086
0.658 0.589 0.619
0.699 0.131 0.123
0.728 0.160 0.582
```

[5]
The following is a simulated powder XRD pattern of Zr6Zn23. It was derived from a crystal structure in Alexandria, relaxed with GGA-PBE, using copper Kα.

Top 10 peaks for 2θ from 10° to 90°, in order of rising 2θ:
2θ/deg  I (rel.)
31.69  12
35.74  26
37.99  86
41.51  100
43.50  24
44.15  22
49.10  16
64.22  22
65.71  12
77.11  25

```
Zr6Zn23
1.0
0.000 6.153 6.153
6.153 0.000 6.153
6.153 6.153 0.000
Zr Zn
6 23
direct
0.189 0.189 0.811
0.189 0.811 0.189
0.189 0.811 0.811
0.811 0.189 0.189
0.811 0.189 0.811
0.811 0.811 0.189
0.000 0.000 0.500
0.000 0.500 0.000
0.000 0.500 0.500
0.138 0.621 0.621
0.168 0.168 0.168
0.168 0.168 0.496
0.168 0.496 0.168
0.379 0.379 0.379
0.379 0.379 0.862
0.379 0.862 0.379
0.496 0.168 0.168
0.500 0.000 0.000
0.500 0.000 0.500
0.500 0.500 0.000
0.500 0.500 0.500
0.504 0.832 0.832
0.621 0.138 0.621
0.621 0.621 0.138
0.621 0.621 0.621
0.832 0.504 0.832
0.832 0.832 0.504
0.832 0.832 0.832
0.862 0.379 0.379
```

[6]
The following is a simulated powder XRD pattern of LaSn4Pd2. It was derived from a crystal structure in Alexandria, relaxed with GGA-PBE, using copper Kα.

Top 10 peaks for 2θ from 10° to 90°, in order of rising 2θ:
2θ/deg  I (rel.)
32.40  100
32.63  61
34.06  21
35.04  28
38.57  50
39.42  16
42.24  26
53.09  17
61.06  20
61.49  15

```
LaSn4Pd2
1.0
19.123 0.000 0.000
0.000 4.669 0.000
0.000 0.000 7.346
La Sn Pd
4 16 8
direct
0.141 0.250 0.004
0.359 0.750 0.504
0.641 0.250 0.496
0.859 0.750 0.996
0.032 0.750 0.857
0.066 0.250 0.485
0.181 0.750 0.307
0.196 0.750 0.726
0.304 0.250 0.226
0.319 0.250 0.807
0.434 0.750 0.985
0.468 0.250 0.357
0.532 0.750 0.643
0.566 0.250 0.015
0.681 0.750 0.193
0.696 0.750 0.774
0.804 0.250 0.274
0.819 0.250 0.693
0.934 0.750 0.515
0.968 0.250 0.143
0.035 0.750 0.240
0.211 0.250 0.527
0.289 0.750 0.027
0.465 0.250 0.740
0.535 0.750 0.260
0.711 0.250 0.973
0.789 0.750 0.473
0.965 0.250 0.760
```

[7]
The following is a simulated powder XRD pattern of NaMgSc. It was derived from a crystal structure in Alexandria, relaxed with GGA-PBE, using copper Kα.

Top 10 peaks for 2θ from 10° to 90°, in order of rising 2θ:
2θ/deg  I (rel.)
10.09  84
30.09  94
30.60  30
35.03  100
36.77  18
40.41  50
51.52  25
58.47  15
67.16  15
70.02  22

```
NaMgSc
1.0
4.465 0.000 0.000
0.000 4.465 0.000
0.000 0.000 8.764
Na Mg Sc
2 2 2
direct
0.250 0.250 0.146
0.750 0.750 0.854
0.250 0.250 0.754
0.750 0.750 0.246
0.250 0.750 0.500
0.750 0.250 0.500
```

[8]
The following is a simulated powder XRD pattern of Mg5Si9. It was derived from a crystal structure in Alexandria, relaxed with GGA-PBE, using copper Kα.

Top 10 peaks for 2θ from 10° to 90°, in order of rising 2θ:
2θ/deg  I (rel.)
27.56  43
29.75  45
30.01  40
30.63  100
31.63  43
34.41  50
35.58  69
38.74  50
38.92  56
40.28  45

```
Mg5Si9
1.0
6.874 0.000 0.000
3.326 6.442 0.000
2.462 -0.308 12.360
Mg Si
10 18
direct
0.000 0.000 0.000
0.003 0.438 0.788
0.011 0.765 0.610
0.109 0.677 0.188
0.123 0.996 0.421
0.275 0.290 0.536
0.354 0.211 0.956
0.498 0.791 0.604
0.671 0.385 0.479
0.952 0.231 0.201
0.028 0.609 0.998
0.056 0.106 0.657
0.105 0.376 0.345
0.256 0.003 0.806
0.271 0.664 0.849
0.297 0.582 0.382
0.369 0.912 0.113
0.400 0.469 0.682
0.427 0.155 0.209
0.531 0.600 0.216
0.606 0.458 0.914
0.615 0.323 0.091
0.651 0.890 0.786
0.666 0.750 0.962
0.694 0.205 0.765
0.701 0.006 0.492
0.728 0.663 0.337
0.738 0.989 0.302
```

[9]
The following is a simulated powder XRD pattern of Pr5Dy3Tm4. It was derived from a crystal structure in Alexandria, relaxed with GGA-PBE, using copper Kα.

Top 10 peaks for 2θ from 10° to 90°, in order of rising 2θ:
2θ/deg  I (rel.)
29.35  97
29.48  100
31.13  11
32.24  82
34.54  43
35.44  47
47.95  34
48.65  28
55.74  33
58.87  12

```
Pr5Dy3Tm4
1.0
5.765 -2.778 0.000
5.765 2.778 0.000
-3.160 0.000 12.552
Pr Dy Tm
5 3 4
direct
0.000 0.000 0.000
0.143 0.143 0.466
0.266 0.266 0.112
0.734 0.734 0.888
0.857 0.857 0.534
0.344 0.344 0.730
0.500 0.500 0.000
0.656 0.656 0.270
0.054 0.054 0.774
0.409 0.409 0.376
0.591 0.591 0.624
0.946 0.946 0.226
```

[10]
The following is a simulated powder XRD pattern of TiAgF5. It was derived from a crystal structure in Alexandria, relaxed with GGA-PBE, using copper Kα.

Top 10 peaks for 2θ from 10° to 90°, in order of rising 2θ:
2θ/deg  I (rel.)
21.03  93
25.54  56
25.98  100
33.66  31
36.00  36
42.82  24
45.28  25
47.48  24
50.48  28
50.77  25

```
TiAgF5
1.0
-1.970 3.488 4.224
1.970 -3.488 4.224
1.970 3.488 -4.224
Ti Ag F
1 1 5
direct
0.000 0.000 0.000
0.500 0.500 0.000
0.000 0.500 0.500
0.219 0.219 0.000
0.269 0.000 0.269
0.731 0.000 0.731
0.781 0.781 0.000
```

[11]
The following is a simulated powder XRD pattern of CaAl8Co2. It was derived from a crystal structure in Alexandria, relaxed with GGA-PBE, using copper Kα.

Top 10 peaks for 2θ from 10° to 90°, in order of rising 2θ:
2θ/deg  I (rel.)
22.32  86
23.37  40
34.35  78
36.46  100
44.03  44
44.19  44
44.53  89
44.74  85
45.68  84
46.42  51

```
CaAl8Co2
1.0
12.454 0.000 0.000
0.000 14.425 0.000
0.000 0.000 3.972
Ca Al Co
4 32 8
direct
0.159 0.181 0.000
0.341 0.681 0.000
0.659 0.319 0.000
0.841 0.819 0.000
0.000 0.000 0.000
0.000 0.500 0.500
0.025 0.867 0.500
0.048 0.320 0.500
0.095 0.746 0.000
0.161 0.620 0.500
0.162 0.455 0.000
0.168 0.008 0.500
0.236 0.827 0.500
0.264 0.327 0.500
0.332 0.508 0.500
0.338 0.955 0.000
0.339 0.120 0.500
0.405 0.246 0.000
0.452 0.820 0.500
0.475 0.367 0.500
0.500 0.000 0.500
0.500 0.500 0.000
0.525 0.633 0.500
0.548 0.180 0.500
0.595 0.754 0.000
0.661 0.880 0.500
0.662 0.045 0.000
0.668 0.492 0.500
0.736 0.673 0.500
0.764 0.173 0.500
0.832 0.992 0.500
0.838 0.545 0.000
0.839 0.380 0.500
0.905 0.254 0.000
0.952 0.680 0.500
0.975 0.133 0.500
0.034 0.593 0.000
0.150 0.902 0.000
0.350 0.402 0.000
0.466 0.093 0.000
0.534 0.907 0.000
0.650 0.598 0.000
0.850 0.098 0.000
0.966 0.407 0.000
```